1.
Computed powder diffractogram
Compound: Li2CuSnO4
Radiation: Cu Kα (λ = 1.5418 Å)
Structure: a GGA-PBE-relaxed structure
Lines closer than 0.1° are merged.

Most intense lines, 10 to 80 degrees two-theta, by intensity:
(1 0 1), 23.3°, rel. 100
(2 0 0), 42.7°, rel. 38
(1 1 2), 36.2°, rel. 32
(2 1 1), 49.2°, rel. 27
(2 0 4), 60.3°, rel. 24
(1 0 3), 37.0°, rel. 24

Structure:
Cell lengths 4.231, 4.231, 8.910 Å; angles 90.00, 90.00, 90.00 degrees
Space group I-4m2 (No. 119)
Inequivalent atoms, fractional coordinates:
Li 0.000 0.000 0.000 x2
Li 0.000 0.500 0.250 x2
Cu 0.000 0.500 0.750 x2
Sn 0.000 0.000 0.500 x2
O 0.000 0.000 0.270 x4
O 0.000 0.500 0.506 x4

2.
Computed powder diffractogram
Compound: Li2CuSnO4
Radiation: Cu Kα (λ = 1.5418 Å)
Structure: a GGA-PBE-relaxed structure
Lines closer than 0.1° are merged.

Most intense lines, 10 to 80 degrees two-theta, by intensity:
(1 0 1), 17.8°, rel. 100
(2 2 0), 42.9°, rel. 49
(1 2 1), 34.7°, rel. 38
(2 2 4), 58.7°, rel. 34
(0 0 4), 38.2°, rel. 32
(0 2 2), 35.2°, rel. 31

Structure:
Cell lengths 5.877, 6.051, 9.433 Å; angles 90.00, 90.00, 90.00 degrees
Space group Imma (No. 74)
Inequivalent atoms, fractional coordinates:
Li 0.000 0.000 0.000 x4
Li 0.250 0.250 0.250 x4
Cu 0.250 0.250 0.750 x4
Sn 0.000 0.000 0.500 x4
O 0.000 0.025 0.723 x8
O 0.247 0.250 0.479 x8